Simulated XRD peak list of Li5B8C8 for λ = 1.5418 Å (Cu Kα), from a structure optimized by DFT (GGA-PBE).

The 6 most intense peaks (2θ from 15° to 90°), by angle:
- d 3.669, 2θ 24.3, intensity 1000, hkl 4 0 0
- d 1.987, 2θ 45.7, intensity 69, hkl 6 0 -4
- d 1.975, 2θ 45.9, intensity 197, hkl 5 1 -2
- d 1.970, 2θ 46.1, intensity 145, hkl 3 1 2
- d 1.834, 2θ 49.7, intensity 146, hkl 8 0 0
- d 1.356, 2θ 69.3, intensity 89, hkl 3 1 -6

Structure:
```
data_Li5B8C8
_cell_length_a 15.445
_cell_length_b 2.697
_cell_length_c 9.411
_cell_angle_alpha 90.00
_cell_angle_beta 108.15
_cell_angle_gamma 90.00
_symmetry_space_group_name_H-M 'C 1 m 1'
_symmetry_Int_Tables_number 8
loop_
_symmetry_equiv_pos_as_xyz
'x,y,z'
'x,-y,z'
'x+1/2,y+1/2,z'
'x+1/2,-y+1/2,z'
loop_
_atom_site_label
_atom_site_type_symbol
_atom_site_fract_x
_atom_site_fract_y
_atom_site_fract_z
Li1 Li 0.000 0.000 0.000
Li2 Li 0.003 0.500 0.730
Li3 Li 0.247 0.500 0.372
Li4 Li 0.253 0.500 0.882
Li5 Li 0.496 0.000 0.273
B1 B 0.118 0.000 0.230
B2 B 0.124 0.500 0.983
B3 B 0.128 0.500 0.488
B4 B 0.129 0.000 0.734
B5 B 0.366 0.500 0.261
B6 B 0.375 0.000 0.515
B7 B 0.377 0.500 0.766
B8 B 0.381 0.000 0.022
C1 C 0.116 0.500 0.144
C2 C 0.124 0.000 0.398
C3 C 0.125 0.000 0.898
C4 C 0.130 0.500 0.652
C5 C 0.364 0.000 0.347
C6 C 0.378 0.500 0.603
C7 C 0.379 0.500 0.105
C8 C 0.380 0.000 0.855
```

***

Simulated XRD peak list of Li7B8C8 for λ = 1.5418 Å (Cu Kα), from a structure optimized by DFT (GGA-PBE).

The 6 most intense peaks (2θ from 15° to 90°), by angle:
- d 3.576, 2θ 24.9, intensity 1000, hkl 0 0 2
- d 1.975, 2θ 46.0, intensity 651, hkl 4 0 0
- d 1.788, 2θ 51.1, intensity 199, hkl 0 0 4
- d 1.367, 2θ 68.6, intensity 211, hkl 0 4 0
- d 1.277, 2θ 74.3, intensity 92, hkl 0 4 2
- d 1.124, 2θ 86.6, intensity 83, hkl 4 4 0

Structure:
```
data_Li7B8C8
_cell_length_a 9.475
_cell_length_b 5.469
_cell_length_c 8.578
_cell_angle_alpha 90.00
_cell_angle_beta 123.51
_cell_angle_gamma 90.00
_symmetry_space_group_name_H-M 'C 1 2/m 1'
_symmetry_Int_Tables_number 12
loop_
_symmetry_equiv_pos_as_xyz
'x,y,z'
'-x,-y,-z'
'-x,y,-z'
'x,-y,z'
'x+1/2,y+1/2,z'
'-x+1/2,-y+1/2,-z'
'-x+1/2,y+1/2,-z'
'x+1/2,-y+1/2,z'
loop_
_atom_site_label
_atom_site_type_symbol
_atom_site_fract_x
_atom_site_fract_y
_atom_site_fract_z
Li1 Li 0.000 0.000 0.000
Li2 Li 0.000 0.250 0.500
Li3 Li 0.250 0.000 0.500
Li4 Li 0.250 0.250 0.000
B1 B 0.042 0.252 0.249
B2 B 0.206 0.500 0.745
B3 B 0.210 0.000 0.751
C1 C 0.040 0.500 0.745
C2 C 0.043 0.000 0.753
C3 C 0.211 0.250 0.255
```

***

Simulated XRD peak list of LiB4C4 for λ = 1.5418 Å (Cu Kα), from a structure optimized by DFT (GGA-PBE).

The 6 most intense peaks (2θ from 15° to 90°), by angle:
- d 3.818, 2θ 23.3, intensity 1000, hkl 0 6 0
- d 2.677, 2θ 33.5, intensity 136, hkl 0 7 1
- d 2.353, 2θ 38.3, intensity 250, hkl 1 0 1
- d 2.304, 2θ 39.1, intensity 171, hkl 1 2 1
- d 2.003, 2θ 45.3, intensity 192, hkl 1 6 1
- d 1.987, 2θ 45.7, intensity 159, hkl 0 6 2

Structure:
```
data_LiB4C4
_cell_length_a 2.727
_cell_length_b 22.910
_cell_length_c 4.652
_cell_angle_alpha 90.00
_cell_angle_beta 90.00
_cell_angle_gamma 90.00
_symmetry_space_group_name_H-M 'I m m 2'
_symmetry_Int_Tables_number 44
loop_
_symmetry_equiv_pos_as_xyz
'x,y,z'
'-x,-y,z'
'-x,y,z'
'x,-y,z'
'x+1/2,y+1/2,z+1/2'
'-x+1/2,-y+1/2,z+1/2'
'-x+1/2,y+1/2,z+1/2'
'x+1/2,-y+1/2,z+1/2'
loop_
_atom_site_label
_atom_site_type_symbol
_atom_site_fract_x
_atom_site_fract_y
_atom_site_fract_z
Li1 Li 0.000 0.077 0.000
B1 B 0.000 0.000 0.336
B2 B 0.000 0.155 0.608
B3 B 0.000 0.226 0.155
B4 B 0.000 0.342 0.619
B5 B 0.000 0.500 0.328
C1 C 0.000 0.000 0.674
C2 C 0.000 0.157 0.281
C3 C 0.000 0.275 0.413
C4 C 0.000 0.340 0.275
C5 C 0.000 0.500 0.673
```

***

Simulated XRD peak list of Li5B8C8 for λ = 1.5418 Å (Cu Kα), from a structure optimized by DFT (GGA-PBE).

The 6 most intense peaks (2θ from 15° to 90°), by angle:
- d 3.633, 2θ 24.5, intensity 1000, hkl 0 0 2
- d 2.350, 2θ 38.3, intensity 94, hkl 2 0 0
- d 1.974, 2θ 46.0, intensity 346, hkl 2 0 -2
- d 1.970, 2θ 46.1, intensity 78, hkl 2 0 2
- d 1.817, 2θ 50.2, intensity 150, hkl 0 0 4
- d 1.357, 2θ 69.2, intensity 144, hkl 3 2 0

Structure:
```
data_Li5B8C8
_cell_length_a 4.697
_cell_length_b 5.431
_cell_length_c 7.267
_cell_angle_alpha 90.00
_cell_angle_beta 90.18
_cell_angle_gamma 90.00
_symmetry_space_group_name_H-M 'P 1 2 1'
_symmetry_Int_Tables_number 3
loop_
_symmetry_equiv_pos_as_xyz
'x,y,z'
'-x,y,-z'
loop_
_atom_site_label
_atom_site_type_symbol
_atom_site_fract_x
_atom_site_fract_y
_atom_site_fract_z
Li1 Li 0.000 0.000 0.000
Li2 Li 0.000 0.035 0.500
Li3 Li 0.000 0.517 0.000
Li4 Li 0.500 0.258 0.000
Li5 Li 0.500 0.736 0.500
B1 B 0.169 0.261 0.248
B2 B 0.169 0.758 0.251
B3 B 0.331 0.509 0.754
B4 B 0.334 0.008 0.754
C1 C 0.169 0.258 0.762
C2 C 0.169 0.759 0.750
C3 C 0.329 0.009 0.250
C4 C 0.332 0.509 0.245
```